1.
Theoretical X-ray powder pattern
Compound: Al4Ga2O9
Radiation: Cu Ka
Structure: a GGA-PBE-relaxed structure
Lines closer than 0.1° are merged.

Peak list (10 most intense, 2θ from 10° to 80°, sorted by position)
2θ 21.0, I 49.3
2θ 24.9, I 34.1
2θ 34.3, I 100.0
2θ 36.8, I 56.2
2θ 42.2, I 31.4
2θ 51.1, I 42.2
2θ 56.0, I 54.8
2θ 64.6, I 36.5
2θ 66.2, I 36.5
2θ 74.9, I 14.3

Structure:
Cell: 4.890 4.890 13.295 Å, 90.00 90.00 120.00°
Fractional coordinates of all 30 atoms:
Al 0.333 0.667 0.186
Al 0.333 0.667 0.482
Al 0.333 0.667 0.686
Al 0.333 0.667 0.982
Al 0.667 0.333 0.018
Al 0.667 0.333 0.314
Al 0.667 0.333 0.518
Al 0.667 0.333 0.814
Ga 0.000 0.000 0.144
Ga 0.000 0.000 0.356
Ga 0.000 0.000 0.644
Ga 0.000 0.000 0.856
O 0.000 0.317 0.250
O 0.000 0.683 0.750
O 0.028 0.373 0.582
O 0.028 0.655 0.082
O 0.317 0.000 0.250
O 0.317 0.317 0.750
O 0.345 0.373 0.082
O 0.345 0.972 0.582
O 0.373 0.028 0.918
O 0.373 0.345 0.418
O 0.627 0.655 0.582
O 0.627 0.972 0.082
O 0.655 0.028 0.418
O 0.655 0.627 0.918
O 0.683 0.000 0.750
O 0.683 0.683 0.250
O 0.972 0.345 0.918
O 0.972 0.627 0.418


2.
Theoretical X-ray powder pattern
Compound: AlGaO3
Radiation: Cu Ka
Structure: a GGA-PBE-relaxed structure
Lines closer than 0.1° are merged.

Peak list (10 most intense, 2θ from 10° to 80°, sorted by position)
2θ 14.1, I 32.2
2θ 31.1, I 52.6
2θ 33.7, I 100.0
2θ 36.0, I 21.4
2θ 37.4, I 58.0
2θ 42.5, I 21.4
2θ 54.4, I 20.1
2θ 62.9, I 44.5
2θ 64.7, I 24.4
2θ 67.7, I 17.2

Structure:
Cell: 4.996 8.624 9.163 Å, 90.00 90.00 90.00°
Fractional coordinates of all 40 atoms:
Al 0.179 0.035 0.000
Al 0.188 0.342 0.793
Al 0.312 0.842 0.293
Al 0.321 0.535 0.500
Al 0.679 0.465 0.000
Al 0.688 0.158 0.793
Al 0.812 0.658 0.293
Al 0.821 0.965 0.500
Ga 0.181 0.350 0.202
Ga 0.185 0.657 0.016
Ga 0.315 0.157 0.516
Ga 0.319 0.850 0.702
Ga 0.681 0.150 0.202
Ga 0.685 0.843 0.016
Ga 0.815 0.343 0.516
Ga 0.819 0.650 0.702
O 0.018 0.819 0.144
O 0.029 0.164 0.142
O 0.040 0.488 0.642
O 0.149 0.669 0.380
O 0.151 0.992 0.412
O 0.170 0.346 0.407
O 0.330 0.846 0.907
O 0.349 0.492 0.912
O 0.351 0.169 0.880
O 0.460 0.988 0.142
O 0.471 0.664 0.642
O 0.482 0.319 0.644
O 0.518 0.681 0.144
O 0.529 0.336 0.142
O 0.540 0.012 0.642
O 0.649 0.831 0.380
O 0.651 0.508 0.412
O 0.670 0.154 0.407
O 0.830 0.654 0.907
O 0.849 0.008 0.912
O 0.851 0.331 0.880
O 0.960 0.512 0.142
O 0.971 0.836 0.642
O 0.982 0.181 0.644


3.
Theoretical X-ray powder pattern
Compound: Al2Ga4O9
Radiation: Cu Ka
Structure: a GGA-PBE-relaxed structure
Lines closer than 0.1° are merged.

Peak list (10 most intense, 2θ from 10° to 80°, sorted by position)
2θ 20.6, I 26.4
2θ 24.5, I 27.3
2θ 33.8, I 100.0
2θ 36.1, I 69.2
2θ 41.5, I 17.2
2θ 50.3, I 40.3
2θ 55.1, I 45.0
2θ 63.5, I 35.8
2θ 64.9, I 31.7
2θ 73.8, I 13.1

Structure:
Cell: 4.975 4.975 13.458 Å, 90.00 90.00 120.00°
Fractional coordinates of all 30 atoms:
Al 0.000 0.000 0.148
Al 0.000 0.000 0.352
Al 0.000 0.000 0.648
Al 0.000 0.000 0.852
Ga 0.333 0.667 0.188
Ga 0.333 0.667 0.476
Ga 0.333 0.667 0.688
Ga 0.333 0.667 0.976
Ga 0.667 0.333 0.024
Ga 0.667 0.333 0.312
Ga 0.667 0.333 0.524
Ga 0.667 0.333 0.812
O 0.000 0.293 0.250
O 0.000 0.707 0.750
O 0.029 0.351 0.585
O 0.029 0.678 0.085
O 0.293 0.000 0.250
O 0.293 0.293 0.750
O 0.322 0.351 0.085
O 0.322 0.971 0.585
O 0.351 0.029 0.915
O 0.351 0.322 0.415
O 0.649 0.678 0.585
O 0.649 0.971 0.085
O 0.678 0.029 0.415
O 0.678 0.649 0.915
O 0.707 0.000 0.750
O 0.707 0.707 0.250
O 0.971 0.322 0.915
O 0.971 0.649 0.415


4.
Theoretical X-ray powder pattern
Compound: PaAlGa2O8
Radiation: Cu Ka
Structure: a GGA-PBE-relaxed structure
Lines closer than 0.1° are merged.

Peak list (10 most intense, 2θ from 10° to 80°, sorted by position)
2θ 18.8, I 71.0
2θ 19.1, I 46.0
2θ 27.2, I 100.0
2θ 32.6, I 99.4
2θ 33.2, I 30.1
2θ 38.0, I 22.9
2θ 38.8, I 20.0
2θ 51.5, I 71.4
2θ 61.2, I 19.4
2θ 66.4, I 19.9

Structure:
Cell: 5.761 5.761 5.761 Å, 110.58 110.58 107.28°
Fractional coordinates of all 12 atoms:
Pa 0.000 0.000 0.000
Al 0.250 0.750 0.500
Ga 0.500 0.500 0.000
Ga 0.750 0.250 0.500
O 0.310 0.098 0.789
O 0.310 0.521 0.211
O 0.368 0.056 0.312
O 0.479 0.690 0.789
O 0.744 0.056 0.688
O 0.902 0.690 0.211
O 0.944 0.256 0.312
O 0.944 0.632 0.688


5.
Theoretical X-ray powder pattern
Compound: AlGaSbO6
Radiation: Cu Ka
Structure: a GGA-PBE-relaxed structure
Lines closer than 0.1° are merged.

Peak list (10 most intense, 2θ from 10° to 80°, sorted by position)
2θ 22.8, I 50.2
2θ 29.2, I 100.0
2θ 35.6, I 40.1
2θ 37.7, I 16.4
2θ 41.6, I 20.6
2θ 42.7, I 12.3
2θ 46.7, I 26.9
2θ 56.4, I 47.9
2θ 60.0, I 25.0
2θ 63.9, I 21.0

Structure:
Cell: 5.049 5.049 8.540 Å, 90.00 90.00 120.00°
Fractional coordinates of all 18 atoms:
Al 0.333 0.667 0.250
Al 0.667 0.333 0.750
Ga 0.000 0.000 0.000
Ga 0.000 0.000 0.500
Sb 0.333 0.667 0.750
Sb 0.667 0.333 0.250
O 0.014 0.348 0.129
O 0.014 0.667 0.371
O 0.333 0.348 0.371
O 0.333 0.986 0.129
O 0.348 0.014 0.629
O 0.348 0.333 0.871
O 0.652 0.667 0.129
O 0.652 0.986 0.371
O 0.667 0.014 0.871
O 0.667 0.652 0.629
O 0.986 0.333 0.629
O 0.986 0.652 0.871


6.
Theoretical X-ray powder pattern
Compound: Sr2AlGaSn2O7
Radiation: Cu Ka
Structure: a GGA-PBE-relaxed structure
Lines closer than 0.1° are merged.

Peak list (10 most intense, 2θ from 10° to 80°, sorted by position)
2θ 15.3, I 48.2
2θ 22.1, I 26.8
2θ 27.3, I 28.2
2θ 30.8, I 51.7
2θ 31.1, I 82.2
2θ 31.1, I 100.0
2θ 31.3, I 59.8
2θ 31.5, I 43.6
2θ 32.0, I 41.3
2θ 41.5, I 26.9

Structure:
Cell: 5.755 6.524 12.344 Å, 74.81 76.81 88.99°
Fractional coordinates of all 26 atoms:
Sr 0.000 0.000 0.000
Sr 0.112 0.208 0.666
Sr 0.469 0.601 0.025
Sr 0.592 0.809 0.678
Al 0.295 0.665 0.275
Al 0.770 0.125 0.409
Ga 0.501 0.266 0.840
Ga 0.997 0.572 0.862
Sn 0.216 0.780 0.477
Sn 0.420 0.059 0.140
Sn 0.687 0.422 0.533
Sn 0.879 0.396 0.184
O 0.074 0.659 0.200
O 0.133 0.835 0.772
O 0.172 0.327 0.840
O 0.196 0.284 0.093
O 0.385 0.563 0.592
O 0.481 0.015 0.964
O 0.489 0.996 0.479
O 0.542 0.536 0.225
O 0.628 0.188 0.701
O 0.673 0.508 0.843
O 0.721 0.235 0.088
O 0.918 0.581 0.587
O 0.924 0.626 0.010
O 0.980 0.026 0.494


7.
Theoretical X-ray powder pattern
Compound: Sr2AlGa2O6
Radiation: Cu Ka
Structure: a GGA-PBE-relaxed structure
Lines closer than 0.1° are merged.

Peak list (10 most intense, 2θ from 10° to 80°, sorted by position)
2θ 16.5, I 13.6
2θ 31.1, I 100.0
2θ 33.1, I 74.7
2θ 33.3, I 13.7
2θ 35.4, I 18.8
2θ 46.1, I 25.9
2θ 55.4, I 19.1
2θ 56.7, I 37.9
2θ 61.0, I 14.5
2θ 64.9, I 20.1

Structure:
Cell: 6.315 6.315 6.315 Å, 54.13 54.13 54.13°
Fractional coordinates of all 11 atoms:
Sr 0.210 0.210 0.210
Sr 0.790 0.790 0.790
Al 0.000 0.000 0.000
Ga 0.423 0.423 0.423
Ga 0.577 0.577 0.577
O 0.227 0.227 0.773
O 0.227 0.773 0.227
O 0.227 0.773 0.773
O 0.773 0.227 0.227
O 0.773 0.227 0.773
O 0.773 0.773 0.227


8.
Theoretical X-ray powder pattern
Compound: Sr3Al2GaO8
Radiation: Cu Ka
Structure: a GGA-PBE-relaxed structure
Lines closer than 0.1° are merged.

Peak list (10 most intense, 2θ from 10° to 80°, sorted by position)
2θ 12.5, I 18.6
2θ 31.3, I 73.1
2θ 32.3, I 100.0
2θ 39.6, I 21.2
2θ 45.6, I 48.3
2θ 55.2, I 13.4
2θ 57.0, I 27.9
2θ 57.5, I 18.6
2θ 65.4, I 13.4
2θ 67.5, I 18.1

Structure:
Cell: 5.548 5.548 7.093 Å, 90.00 90.00 120.00°
Fractional coordinates of all 14 atoms:
Sr 0.000 0.000 0.000
Sr 0.333 0.667 0.651
Sr 0.667 0.333 0.349
Al 0.333 0.667 0.225
Al 0.667 0.333 0.775
Ga 0.000 0.000 0.500
O 0.165 0.330 0.327
O 0.165 0.835 0.327
O 0.330 0.165 0.673
O 0.333 0.667 0.982
O 0.667 0.333 0.018
O 0.670 0.835 0.327
O 0.835 0.165 0.673
O 0.835 0.670 0.673